# 1
Diffraction record for Eu2As3Pt3. The powder XRD pattern is computed, not measured: it uses the GGA-PBE geometry in the Materials Project and Cu Kα X-rays.
No peak broadening, texture or thermal motion is included.

Principal peaks in the range 2θ from 5° to 70°, sorted by position:
Position (°2θ), d [Å], I (rel.)
13.51, 6.556, 100.0
19.14, 4.636, 45.7
27.20, 3.278, 19.6
30.49, 2.932, 29.3
38.20, 2.356, 13.5
40.69, 2.217, 11.3
43.66, 2.073, 11.0
47.53, 1.913, 14.5

Structure:
```
data_Eu2As3Pt3
_chemical_formula_sum 'Eu2 As3 Pt3'
_cell_length_a 6.5562
_cell_length_b 6.5562
_cell_length_c 20.1973
_cell_angle_alpha 90.00
_cell_angle_beta 90.00
_cell_angle_gamma 90.00
_space_group_name_H-M_alt 'P 1'
_space_group_IT_number 1
loop_
_space_group_symop_operation_xyz
'x,y,z'
loop_
_atom_site_label
_atom_site_type_symbol
_atom_site_fract_x
_atom_site_fract_y
_atom_site_fract_z
Eu1 Eu 0.0000 0.0000 0.2447
Eu2 Eu 0.0000 0.0000 0.7553
As1 As 0.0000 0.0000 0.0000
As2 As 0.0000 0.0000 0.3885
As3 As 0.0000 0.0000 0.6115
Pt1 Pt 0.0000 0.0000 0.1149
Pt2 Pt 0.0000 0.0000 0.5000
Pt3 Pt 0.0000 0.0000 0.8851
```



# 2
Diffraction record for Sr2SmNbO6. The powder XRD pattern is computed, not measured: it uses the GGA-PBE geometry in the Materials Project and Cu Kα X-rays.
No peak broadening, texture or thermal motion is included.

Principal peaks in the range 2θ from 5° to 70°, sorted by position:
Position (°2θ), d [Å], I (rel.)
29.60, 3.018, 47.9
29.96, 2.983, 100.0
30.06, 2.973, 99.5
30.33, 2.947, 46.9
42.89, 2.109, 50.9
43.01, 2.103, 27.7
52.78, 1.735, 34.3
53.61, 1.710, 32.3

Structure:
```
data_Sr2SmNbO6
_chemical_formula_sum 'Sr4 Sm2 Nb2 O12'
_cell_length_a 5.8945
_cell_length_b 6.0357
_cell_length_c 10.2487
_cell_angle_alpha 90.00
_cell_angle_beta 124.84
_cell_angle_gamma 90.00
_space_group_name_H-M_alt 'P 1'
_space_group_IT_number 1
loop_
_space_group_symop_operation_xyz
'x,y,z'
loop_
_atom_site_label
_atom_site_type_symbol
_atom_site_fract_x
_atom_site_fract_y
_atom_site_fract_z
Sr1 Sr 0.2403 0.0436 0.2513
Sr2 Sr 0.2403 0.4564 0.7513
Sr3 Sr 0.7597 0.5436 0.2487
Sr4 Sr 0.7597 0.9564 0.7487
Sm1 Sm 0.5000 0.0000 0.0000
Sm2 Sm 0.5000 0.5000 0.5000
Nb1 Nb 0.0000 0.0000 0.5000
Nb2 Nb 0.0000 0.5000 0.0000
O1 O 0.1341 0.2242 0.9474
O2 O 0.1341 0.2758 0.4474
O3 O 0.2308 0.6901 0.9544
O4 O 0.2308 0.8099 0.4544
O5 O 0.3234 0.0330 0.7316
O6 O 0.3234 0.4670 0.2316
O7 O 0.6766 0.5330 0.7684
O8 O 0.6766 0.9670 0.2684
O9 O 0.7692 0.1901 0.5456
O10 O 0.7692 0.3099 0.0456
O11 O 0.8659 0.7242 0.5526
O12 O 0.8659 0.7758 0.0526
```



# 3
Diffraction record for Mg14MnFe. The powder XRD pattern is computed, not measured: it uses the GGA-PBE geometry in the Materials Project and Cu Kα X-rays.
No peak broadening, texture or thermal motion is included.

Principal peaks in the range 2θ from 5° to 70°, sorted by position:
Position (°2θ), d [Å], I (rel.)
8.96, 9.874, 29.1
33.00, 2.714, 26.4
36.39, 2.469, 36.1
37.57, 2.394, 51.5
37.83, 2.378, 100.0
49.94, 1.826, 15.5
58.57, 1.576, 17.6
66.44, 1.407, 15.9

Structure:
```
data_Mg14MnFe
_chemical_formula_sum 'Mg14 Mn1 Fe1'
_cell_length_a 9.8744
_cell_length_b 6.3040
_cell_length_c 6.3040
_cell_angle_alpha 59.43
_cell_angle_beta 90.00
_cell_angle_gamma 90.00
_space_group_name_H-M_alt 'P 1'
_space_group_IT_number 1
loop_
_space_group_symop_operation_xyz
'x,y,z'
loop_
_atom_site_label
_atom_site_type_symbol
_atom_site_fract_x
_atom_site_fract_y
_atom_site_fract_z
Mg1 Mg 0.0000 0.0000 0.0000
Mg2 Mg 0.0000 0.0020 0.5010
Mg3 Mg 0.0000 0.4994 0.4994
Mg4 Mg 0.0000 0.5010 0.0020
Mg5 Mg 0.2543 0.6629 0.6629
Mg6 Mg 0.2579 0.1616 0.1616
Mg7 Mg 0.2664 0.1695 0.6744
Mg8 Mg 0.2664 0.6744 0.1695
Mg9 Mg 0.5000 0.5011 0.9982
Mg10 Mg 0.5000 0.9982 0.5011
Mg11 Mg 0.7336 0.1695 0.6744
Mg12 Mg 0.7336 0.6744 0.1695
Mg13 Mg 0.7421 0.1616 0.1616
Mg14 Mg 0.7457 0.6629 0.6629
Mn1 Mn 0.5000 0.5013 0.5013
Fe1 Fe 0.5000 0.0030 0.0030
```



# 4
Diffraction record for Rb2PS3. The powder XRD pattern is computed, not measured: it uses the GGA-PBE geometry in the Materials Project and Cu Kα X-rays.
No peak broadening, texture or thermal motion is included.

Principal peaks in the range 2θ from 5° to 70°, sorted by position:
Position (°2θ), d [Å], I (rel.)
20.60, 4.312, 39.8
24.43, 3.644, 46.8
24.63, 3.615, 38.4
28.27, 3.157, 100.0
29.43, 3.035, 50.1
30.35, 2.945, 50.8
31.68, 2.824, 71.0
32.94, 2.719, 81.6

Structure:
```
data_Rb2PS3
_chemical_formula_sum 'Rb16 P8 S24'
_cell_length_a 13.8008
_cell_length_b 12.4654
_cell_length_c 8.8934
_cell_angle_alpha 90.00
_cell_angle_beta 92.47
_cell_angle_gamma 90.00
_space_group_name_H-M_alt 'P 1'
_space_group_IT_number 1
loop_
_space_group_symop_operation_xyz
'x,y,z'
loop_
_atom_site_label
_atom_site_type_symbol
_atom_site_fract_x
_atom_site_fract_y
_atom_site_fract_z
Rb1 Rb 0.0678 0.1862 0.3777
Rb2 Rb 0.0678 0.3138 0.8777
Rb3 Rb 0.2088 0.6271 0.7720
Rb4 Rb 0.2088 0.8729 0.2720
Rb5 Rb 0.3254 0.5660 0.3412
Rb6 Rb 0.3254 0.9340 0.8412
Rb7 Rb 0.4006 0.2271 0.2076
Rb8 Rb 0.4006 0.2729 0.7076
Rb9 Rb 0.5994 0.7271 0.2924
Rb10 Rb 0.5994 0.7729 0.7924
Rb11 Rb 0.6746 0.0660 0.1588
Rb12 Rb 0.6746 0.4340 0.6588
Rb13 Rb 0.7912 0.1271 0.7280
Rb14 Rb 0.7912 0.3729 0.2280
Rb15 Rb 0.9322 0.6862 0.1223
Rb16 Rb 0.9322 0.8138 0.6223
P1 P 0.0688 0.5022 0.4304
P2 P 0.0688 0.9978 0.9304
P3 P 0.4309 0.5351 0.9407
P4 P 0.4309 0.9649 0.4407
P5 P 0.5691 0.0351 0.5593
P6 P 0.5691 0.4649 0.0593
P7 P 0.9312 0.0022 0.0696
P8 P 0.9312 0.4978 0.5696
S1 S 0.0335 0.0571 0.7227
S2 S 0.0335 0.4429 0.2227
S3 S 0.1044 0.6614 0.4254
S4 S 0.1044 0.8386 0.9254
S5 S 0.1716 0.0880 0.0439
S6 S 0.1716 0.4120 0.5439
S7 S 0.3197 0.0641 0.4926
S8 S 0.3197 0.4359 0.9926
S9 S 0.4136 0.6859 0.0263
S10 S 0.4136 0.8141 0.5263
S11 S 0.4545 0.5399 0.7156
S12 S 0.4545 0.9601 0.2156
S13 S 0.5455 0.0399 0.7844
S14 S 0.5455 0.4601 0.2844
S15 S 0.5864 0.1859 0.4737
S16 S 0.5864 0.3141 0.9737
S17 S 0.6803 0.5641 0.0074
S18 S 0.6803 0.9359 0.5074
S19 S 0.8284 0.5880 0.4561
S20 S 0.8284 0.9120 0.9561
S21 S 0.8956 0.1614 0.0746
S22 S 0.8956 0.3386 0.5746
S23 S 0.9665 0.5571 0.7773
S24 S 0.9665 0.9429 0.2773
```



# 5
Diffraction record for AcSbAu2. The powder XRD pattern is computed, not measured: it uses the GGA-PBE geometry in the Materials Project and Cu Kα X-rays.
No peak broadening, texture or thermal motion is included.

Principal peaks in the range 2θ from 5° to 70°, sorted by position:
Position (°2θ), d [Å], I (rel.)
20.65, 4.301, 3.9
23.89, 3.725, 0.6
34.04, 2.634, 100.0
40.14, 2.246, 2.4
48.90, 1.862, 18.3
53.62, 1.709, 1.1
60.92, 1.521, 38.1
65.05, 1.434, 0.8

Structure:
```
data_AcSbAu2
_chemical_formula_sum 'Ac4 Sb4 Au8'
_cell_length_a 7.4499
_cell_length_b 7.4499
_cell_length_c 7.4499
_cell_angle_alpha 90.00
_cell_angle_beta 90.00
_cell_angle_gamma 90.00
_space_group_name_H-M_alt 'P 1'
_space_group_IT_number 1
loop_
_space_group_symop_operation_xyz
'x,y,z'
loop_
_atom_site_label
_atom_site_type_symbol
_atom_site_fract_x
_atom_site_fract_y
_atom_site_fract_z
Ac1 Ac 0.0000 0.0000 0.0000
Ac2 Ac 0.0000 0.5000 0.5000
Ac3 Ac 0.5000 0.0000 0.5000
Ac4 Ac 0.5000 0.5000 0.0000
Sb1 Sb 0.0000 0.0000 0.5000
Sb2 Sb 0.0000 0.5000 0.0000
Sb3 Sb 0.5000 0.0000 0.0000
Sb4 Sb 0.5000 0.5000 0.5000
Au1 Au 0.2500 0.2500 0.2500
Au2 Au 0.2500 0.2500 0.7500
Au3 Au 0.2500 0.7500 0.2500
Au4 Au 0.2500 0.7500 0.7500
Au5 Au 0.7500 0.2500 0.2500
Au6 Au 0.7500 0.2500 0.7500
Au7 Au 0.7500 0.7500 0.2500
Au8 Au 0.7500 0.7500 0.7500
```



# 6
Diffraction record for BaNaLi3B6O12. The powder XRD pattern is computed, not measured: it uses the GGA-PBE geometry in the Materials Project and Cu Kα X-rays.
No peak broadening, texture or thermal motion is included.

Principal peaks in the range 2θ from 5° to 70°, sorted by position:
Position (°2θ), d [Å], I (rel.)
11.66, 7.590, 93.1
18.56, 4.780, 40.5
23.32, 3.815, 100.0
28.61, 3.120, 98.7
33.97, 2.639, 51.5
34.32, 2.613, 38.3
37.63, 2.390, 44.9
40.35, 2.235, 37.6

Structure:
```
data_BaNaLi3B6O12
_chemical_formula_sum 'Ba2 Na2 Li6 B12 O24'
_cell_length_a 8.3991
_cell_length_b 8.3991
_cell_length_c 8.3991
_cell_angle_alpha 69.38
_cell_angle_beta 69.38
_cell_angle_gamma 69.38
_space_group_name_H-M_alt 'P 1'
_space_group_IT_number 1
loop_
_space_group_symop_operation_xyz
'x,y,z'
loop_
_atom_site_label
_atom_site_type_symbol
_atom_site_fract_x
_atom_site_fract_y
_atom_site_fract_z
Ba1 Ba 0.1476 0.1476 0.1476
Ba2 Ba 0.8524 0.8524 0.8524
Na1 Na 0.3314 0.3314 0.3314
Na2 Na 0.6686 0.6686 0.6686
Li1 Li 0.2173 0.4015 0.7201
Li2 Li 0.2799 0.7827 0.5985
Li3 Li 0.4015 0.7201 0.2173
Li4 Li 0.5985 0.2799 0.7827
Li5 Li 0.7201 0.2173 0.4015
Li6 Li 0.7827 0.5985 0.2799
B1 B 0.0674 0.6929 0.4846
B2 B 0.1325 0.6861 0.1666
B3 B 0.1666 0.1325 0.6861
B4 B 0.3071 0.5154 0.9326
B5 B 0.3139 0.8334 0.8675
B6 B 0.4846 0.0674 0.6929
B7 B 0.5154 0.9326 0.3071
B8 B 0.6861 0.1666 0.1325
B9 B 0.6929 0.4846 0.0674
B10 B 0.8334 0.8675 0.3139
B11 B 0.8675 0.3139 0.8334
B12 B 0.9326 0.3071 0.5154
O1 O 0.0571 0.2399 0.8135
O2 O 0.0962 0.1901 0.5293
O3 O 0.1180 0.6518 0.6332
O4 O 0.1770 0.6219 0.3423
O5 O 0.1865 0.9429 0.7601
O6 O 0.1901 0.5293 0.0962
O7 O 0.2399 0.8135 0.0571
O8 O 0.3423 0.1769 0.6219
O9 O 0.3482 0.3668 0.8820
O10 O 0.3668 0.8820 0.3482
O11 O 0.3781 0.6577 0.8230
O12 O 0.4707 0.9038 0.8099
O13 O 0.5293 0.0962 0.1901
O14 O 0.6219 0.3423 0.1770
O15 O 0.6332 0.1180 0.6518
O16 O 0.6518 0.6332 0.1180
O17 O 0.6577 0.8230 0.3781
O18 O 0.7601 0.1865 0.9429
O19 O 0.8099 0.4707 0.9038
O20 O 0.8135 0.0571 0.2399
O21 O 0.8230 0.3781 0.6577
O22 O 0.8820 0.3482 0.3668
O23 O 0.9038 0.8099 0.4707
O24 O 0.9429 0.7601 0.1865
```